[1]
For Ba2W3O8, a crystal structure in the Materials Project, relaxed with GGA+U gives the theoretical PXRD pattern in this record (Cu Kα (λ = 1.5418 Å)).

Peak list (6 most intense, 2θ from 15° to 90°, most intense first)
hkl, 2θ (°), d/Å, intensity
1 0 3, 31.5, 2.836, 100
1 1 0, 31.4, 2.851, 75
1 0 2, 26.7, 3.344, 63
2 0 0, 45.0, 2.016, 44
2 1 3, 56.0, 1.643, 41
1 1 5, 49.7, 1.833, 37

Atomic structure:
```
data_Ba2W3O8
_cell_length_a 4.032
_cell_length_b 4.032
_cell_length_c 11.969
_cell_angle_alpha 90.00
_cell_angle_beta 90.00
_cell_angle_gamma 90.00
_space_group_name_H-M_alt 'P -4 m 2'
_space_group_IT_number 115
_space_group_name_Hall 'P -4 -2'
loop_
_atom_site_label
_atom_site_type_symbol
_atom_site_fract_x
_atom_site_fract_y
_atom_site_fract_z
Ba1 Ba 0.000 0.000 0.190
W1 W 0.500 0.500 0.000
W2 W 0.500 0.500 0.382
O1 O 0.000 0.500 0.001
O2 O 0.000 0.500 0.371
O3 O 0.000 0.500 0.645
O4 O 0.500 0.500 0.163
```

***

[2]
For Ba2YW3O8, a crystal structure in the Materials Project, relaxed with GGA+U gives the theoretical PXRD pattern in this record (Cu Kα (λ = 1.5418 Å)).

Peak list (6 most intense, 2θ from 15° to 90°, most intense first)
hkl, 2θ (°), d/Å, intensity
1 0 3, 31.2, 2.870, 100
1 1 0, 30.7, 2.913, 93
2 0 0, 44.0, 2.060, 53
1 0 2, 26.2, 3.396, 49
2 1 3, 54.9, 1.673, 41
1 1 5, 49.2, 1.852, 31

Atomic structure:
```
data_Ba2YW3O8
_cell_length_a 4.120
_cell_length_b 4.120
_cell_length_c 11.998
_cell_angle_alpha 90.00
_cell_angle_beta 90.00
_cell_angle_gamma 90.00
_space_group_name_H-M_alt 'P 4/m m m'
_space_group_IT_number 123
_space_group_name_Hall '-P 4 2'
loop_
_atom_site_label
_atom_site_type_symbol
_atom_site_fract_x
_atom_site_fract_y
_atom_site_fract_z
Ba1 Ba 0.000 0.000 0.184
Y1 Y 0.000 0.000 0.500
W1 W 0.500 0.500 0.000
W2 W 0.500 0.500 0.397
O1 O 0.000 0.500 0.000
O2 O 0.000 0.500 0.361
O3 O 0.500 0.500 0.161
```

***

Repeat the second record exactly.
For Ba2YW3O8, a crystal structure in the Materials Project, relaxed with GGA+U gives the theoretical PXRD pattern in this record (Cu Kα (λ = 1.5418 Å)).

Peak list (6 most intense, 2θ from 15° to 90°, most intense first)
hkl, 2θ (°), d/Å, intensity
1 0 3, 31.2, 2.870, 100
1 1 0, 30.7, 2.913, 93
2 0 0, 44.0, 2.060, 53
1 0 2, 26.2, 3.396, 49
2 1 3, 54.9, 1.673, 41
1 1 5, 49.2, 1.852, 31

Atomic structure:
```
data_Ba2YW3O8
_cell_length_a 4.120
_cell_length_b 4.120
_cell_length_c 11.998
_cell_angle_alpha 90.00
_cell_angle_beta 90.00
_cell_angle_gamma 90.00
_space_group_name_H-M_alt 'P 4/m m m'
_space_group_IT_number 123
_space_group_name_Hall '-P 4 2'
loop_
_atom_site_label
_atom_site_type_symbol
_atom_site_fract_x
_atom_site_fract_y
_atom_site_fract_z
Ba1 Ba 0.000 0.000 0.184
Y1 Y 0.000 0.000 0.500
W1 W 0.500 0.500 0.000
W2 W 0.500 0.500 0.397
O1 O 0.000 0.500 0.000
O2 O 0.000 0.500 0.361
O3 O 0.500 0.500 0.161
```

***

Repeat the second record exactly.
For Ba2YW3O8, a crystal structure in the Materials Project, relaxed with GGA+U gives the theoretical PXRD pattern in this record (Cu Kα (λ = 1.5418 Å)).

Peak list (6 most intense, 2θ from 15° to 90°, most intense first)
hkl, 2θ (°), d/Å, intensity
1 0 3, 31.2, 2.870, 100
1 1 0, 30.7, 2.913, 93
2 0 0, 44.0, 2.060, 53
1 0 2, 26.2, 3.396, 49
2 1 3, 54.9, 1.673, 41
1 1 5, 49.2, 1.852, 31

Atomic structure:
```
data_Ba2YW3O8
_cell_length_a 4.120
_cell_length_b 4.120
_cell_length_c 11.998
_cell_angle_alpha 90.00
_cell_angle_beta 90.00
_cell_angle_gamma 90.00
_space_group_name_H-M_alt 'P 4/m m m'
_space_group_IT_number 123
_space_group_name_Hall '-P 4 2'
loop_
_atom_site_label
_atom_site_type_symbol
_atom_site_fract_x
_atom_site_fract_y
_atom_site_fract_z
Ba1 Ba 0.000 0.000 0.184
Y1 Y 0.000 0.000 0.500
W1 W 0.500 0.500 0.000
W2 W 0.500 0.500 0.397
O1 O 0.000 0.500 0.000
O2 O 0.000 0.500 0.361
O3 O 0.500 0.500 0.161
```